# 1
Starting from a cell relaxed with GGA-PBE, the powder X-ray diffraction pattern of Na2ScGaBr6 was computed for Cu Kα (λ = 1.5418 Å).

Cell and atoms:
```
Na2ScGaBr6
1.0
3.6909 2.1310 6.6802
-3.6909 2.1310 6.6802
0.0000 -4.2619 6.6802
Na Sc Ga Br
2 1 1 6
Direct
0.0000 0.0000 0.0000
0.4866 0.4866 0.4866
0.6815 0.6815 0.6815
0.1943 0.1943 0.1943
0.0458 0.4431 0.7731
0.3080 0.8856 0.6015
0.4431 0.7731 0.0458
0.6015 0.3080 0.8856
0.7731 0.0458 0.4431
0.8856 0.6015 0.3080
```

Peak list (10 most intense, 2θ = 15–90°, in order of rising 2θ)
d_spacing	I (rel.)
5.389	211
3.340	133
3.231	1000
2.695	82
2.477	415
2.176	99
2.131	311
1.907	205
1.779	108
1.615	89



# 2
Starting from a cell relaxed with GGA-PBE, the powder X-ray diffraction pattern of Na2TmGaBr6 was computed for Cu Kα (λ = 1.5418 Å).

Cell and atoms:
```
Na2TmGaBr6
1.0
3.7353 2.1566 6.7917
-3.7353 2.1566 6.7917
0.0000 -4.3131 6.7917
Na Tm Ga Br
2 1 1 6
Direct
0.0000 0.0000 0.0000
0.4878 0.4878 0.4878
0.6821 0.6821 0.6821
0.1945 0.1945 0.1945
0.0578 0.4330 0.7740
0.2984 0.8845 0.6062
0.4330 0.7740 0.0578
0.6062 0.2984 0.8845
0.7740 0.0578 0.4330
0.8845 0.6062 0.2984
```

Peak list (10 most intense, 2θ = 15–90°, in order of rising 2θ)
d_spacing	I (rel.)
5.461	594
4.002	211
3.273	1000
2.731	176
2.513	697
2.204	176
2.157	458
1.936	245
1.636	167
1.334	131



# 3
Starting from a cell relaxed with GGA-PBE, the powder X-ray diffraction pattern of Nb3Ga2Br9 was computed for Cu Kα (λ = 1.5418 Å).

Cell and atoms:
```
Nb3Ga2Br9
1.0
5.9771 -7.9709 0.0000
5.9771 7.9709 0.0000
-4.9975 0.0000 9.0435
Nb Ga Br
6 4 18
Direct
0.0283 0.2139 0.6425
0.1050 0.1050 0.3840
0.2139 0.0283 0.6425
0.7861 0.9717 0.3575
0.8950 0.8950 0.6160
0.9717 0.7861 0.3575
0.2147 0.5166 0.1516
0.4834 0.7853 0.8484
0.5166 0.2147 0.1516
0.7853 0.4834 0.8484
0.0723 0.5102 0.8405
0.0930 0.8650 0.1835
0.1350 0.9070 0.8165
0.1617 0.3903 0.5332
0.2290 0.7710 0.5000
0.2508 0.2508 0.2269
0.3009 0.3009 0.8496
0.3903 0.1617 0.5332
0.4898 0.9277 0.1595
0.5102 0.0723 0.8405
0.6097 0.8383 0.4668
0.6991 0.6991 0.1504
0.7492 0.7492 0.7731
0.7710 0.2290 0.5000
0.8383 0.6097 0.4668
0.8650 0.0930 0.1835
0.9070 0.1350 0.8165
0.9277 0.4898 0.1595
```

Peak list (10 most intense, 2θ = 15–90°, in order of rising 2θ)
d_spacing	I (rel.)
3.050	635
3.015	351
2.751	1000
2.737	385
2.714	229
2.379	598
2.368	441
1.863	273
1.817	315
1.773	249



# 4
Starting from a cell relaxed with GGA-PBE, the powder X-ray diffraction pattern of Nb2GaBr6 was computed for Cu Kα (λ = 1.5418 Å).

Cell and atoms:
```
Nb2GaBr6
1.0
3.5777 0.0000 0.0000
0.0331 7.5760 0.0000
1.7524 0.5133 9.3859
Nb Ga Br
2 1 6
Direct
0.1929 0.0502 0.1159
0.8071 0.9498 0.8841
0.5000 0.5000 0.5000
0.0985 0.3158 0.3038
0.2460 0.7364 0.0130
0.3971 0.0996 0.6977
0.6029 0.9004 0.3023
0.7540 0.2636 0.9870
0.9015 0.6842 0.6962
```

Peak list (10 most intense, 2θ = 15–90°, in order of rising 2θ)
d_spacing	I (rel.)
5.739	984
2.901	668
2.854	432
2.838	445
2.478	1000
2.430	776
2.416	622
2.063	439
2.055	438
1.789	416



# 5
Starting from a cell relaxed with GGA-PBE, the powder X-ray diffraction pattern of NdGaBr2 was computed for Cu Kα (λ = 1.5418 Å).

Cell and atoms:
```
NdGaBr2
1.0
2.0442 1.1802 9.7125
-2.0442 1.1802 9.7125
0.0000 -2.3605 9.7125
Nd Ga Br
1 1 2
Direct
0.0000 0.0000 0.0000
0.5000 0.5000 0.5000
0.0987 0.0987 0.0987
0.9013 0.9013 0.9013
```

Peak list (10 most intense, 2θ = 15–90°, in order of rising 2θ)
d_spacing	I (rel.)
3.515	604
3.441	1000
3.238	149
2.539	400
2.250	614
2.121	158
2.044	461
1.564	215
1.513	173
1.216	167



# 6
Starting from a cell relaxed with GGA-PBE, the powder X-ray diffraction pattern of Nd8Ga3PdBr4 was computed for Cu Kα (λ = 1.5418 Å).

Cell and atoms:
```
Nd8Ga3PdBr4
1.0
7.4642 -4.3006 0.0000
7.4642 4.3006 0.0000
-4.9818 0.0000 7.2267
Nd Ga Pd Br
8 3 1 4
Direct
0.2390 0.2390 0.7214
0.2386 0.7435 0.7207
0.2562 0.2562 0.2682
0.2565 0.7614 0.2793
0.7435 0.2386 0.7207
0.7438 0.7438 0.7318
0.7614 0.2565 0.2793
0.7610 0.7610 0.2786
0.0000 0.5000 0.5000
0.5000 0.0000 0.5000
0.5000 0.5000 0.5000
0.0000 0.0000 0.5000
0.0000 0.0000 0.0000
0.0000 0.5000 0.0000
0.5000 0.0000 0.0000
0.5000 0.5000 0.0000
```

Peak list (10 most intense, 2θ = 15–90°, in order of rising 2θ)
d_spacing	I (rel.)
3.526	105
3.072	1000
2.192	351
2.153	379
1.763	197
1.536	113
1.384	134
1.364	111
1.363	55
1.251	76



# 7
Starting from a cell relaxed with GGA-PBE, the powder X-ray diffraction pattern of Nd8GaPt3Br4 was computed for Cu Kα (λ = 1.5418 Å).

Cell and atoms:
```
Nd8GaPt3Br4
1.0
7.3558 -4.2479 0.0000
7.3558 4.2479 0.0000
-4.9101 0.0000 7.6525
Nd Ga Pt Br
8 1 3 4
Direct
0.2276 0.7394 0.7056
0.2343 0.2343 0.7020
0.2607 0.2607 0.2944
0.2606 0.7724 0.2944
0.7394 0.2276 0.7056
0.7393 0.7393 0.7056
0.7657 0.7657 0.2980
0.7724 0.2606 0.2944
0.5000 0.5000 0.5000
0.0000 0.0000 0.5000
0.0000 0.5000 0.5000
0.5000 0.0000 0.5000
0.0000 0.0000 0.0000
0.0000 0.5000 0.0000
0.5000 0.0000 0.0000
0.5000 0.5000 0.0000
```

Peak list (10 most intense, 2θ = 15–90°, in order of rising 2θ)
d_spacing	I (rel.)
3.097	1000
2.448	135
2.263	328
2.124	378
1.815	91
1.751	190
1.548	100
1.421	97
1.351	160
1.251	98



# 8
Starting from a cell relaxed with GGA-PBE, the powder X-ray diffraction pattern of NdGaPtBr was computed for Cu Kα (λ = 1.5418 Å).

Cell and atoms:
```
NdGaPtBr
1.0
2.1489 1.2407 13.8024
-2.1489 1.2407 13.8024
0.0000 -2.4813 13.8024
Nd Ga Pt Br
2 2 2 2
Direct
0.0794 0.0794 0.0794
0.9206 0.9206 0.9206
0.3095 0.3095 0.3095
0.6905 0.6905 0.6905
0.3718 0.3718 0.3718
0.6282 0.6282 0.6282
0.2094 0.2094 0.2094
0.7906 0.7906 0.7906
```

Peak list (10 most intense, 2θ = 15–90°, in order of rising 2θ)
d_spacing	I (rel.)
3.503	479
3.150	1000
2.647	174
2.420	389
2.316	157
2.149	757
2.124	268
2.038	166
1.775	192
1.369	163



# 9
Starting from a cell relaxed with GGA-PBE, the powder X-ray diffraction pattern of NdGaSn2Br8 was computed for Cu Kα (λ = 1.5418 Å).

Cell and atoms:
```
NdGaSn2Br8
1.0
6.8788 0.0000 0.0000
0.0000 8.9667 0.0000
-0.1155 0.0000 7.2211
Nd Ga Sn Br
1 1 2 8
Direct
0.0000 0.0000 0.0000
0.0000 0.5000 0.0000
0.5000 0.2574 0.5000
0.5000 0.7426 0.5000
0.2379 0.2373 0.1602
0.2379 0.7627 0.1602
0.2470 0.0000 0.6738
0.2743 0.5000 0.6531
0.7257 0.5000 0.3469
0.7530 0.0000 0.3262
0.7621 0.2373 0.8398
0.7621 0.7627 0.8398
```

Peak list (10 most intense, 2θ = 15–90°, in order of rising 2θ)
d_spacing	I (rel.)
5.021	915
4.941	898
3.756	662
3.344	982
3.320	817
3.176	482
2.563	894
2.542	903
2.242	584
2.121	1000



# 10
Starting from a cell relaxed with GGA-PBE, the powder X-ray diffraction pattern of PaGaBr6 was computed for Cu Kα (λ = 1.5418 Å).

Cell and atoms:
```
PaGaBr6
1.0
3.6986 -6.4740 0.0000
3.6986 6.4740 0.0000
-2.0743 0.0000 7.0151
Pa Ga Br
1 1 6
Direct
0.0000 0.0000 0.0000
0.5000 0.5000 0.5000
0.0717 0.3638 0.2296
0.2376 0.2376 0.7775
0.3638 0.0717 0.2296
0.6362 0.9283 0.7704
0.7624 0.7624 0.2225
0.9283 0.6362 0.7704
```

Peak list (10 most intense, 2θ = 15–90°, in order of rising 2θ)
d_spacing	I (rel.)
5.364	707
4.168	254
3.082	1000
2.946	455
2.392	174
2.232	166
2.201	171
2.139	390
2.121	305
1.741	169



# 11
Starting from a cell relaxed with GGA-PBE, the powder X-ray diffraction pattern of Ga2Pb4Br9 was computed for Cu Kα (λ = 1.5418 Å).

Cell and atoms:
```
Ga2Pb4Br9
1.0
7.6151 0.0000 0.0000
-3.7648 7.1089 0.0000
-0.0451 -1.3268 20.8828
Ga Pb Br
4 8 18
Direct
0.0115 0.0323 0.1662
0.0279 0.0358 0.3477
0.9721 0.9642 0.6523
0.9885 0.9677 0.8338
0.3359 0.6199 0.6606
0.3378 0.6703 0.9861
0.3510 0.7023 0.1872
0.3675 0.6807 0.4945
0.6325 0.3193 0.5055
0.6490 0.2977 0.8128
0.6622 0.3297 0.0139
0.6641 0.3801 0.3394
0.0130 0.7312 0.2453
0.0312 0.6545 0.5785
0.0607 0.4008 0.0787
0.2560 0.2674 0.5832
0.3044 0.9674 0.7471
0.3208 0.3689 0.2532
0.3438 0.9712 0.0810
0.3537 0.3202 0.9202
0.3832 0.9934 0.4176
0.6168 0.0066 0.5824
0.6463 0.6798 0.0798
0.6562 0.0288 0.9190
0.6792 0.6311 0.7468
0.6956 0.0326 0.2529
0.7440 0.7326 0.4168
0.9393 0.5992 0.9213
0.9688 0.3455 0.4215
0.9870 0.2688 0.7547
```

Peak list (10 most intense, 2θ = 15–90°, in order of rising 2θ)
d_spacing	I (rel.)
5.570	823
4.181	601
3.808	400
3.341	508
2.708	501
2.699	513
2.567	1000
2.364	596
2.242	408
2.231	368



# 12
Starting from a cell relaxed with GGA-PBE, the powder X-ray diffraction pattern of GaPbBr4 was computed for Cu Kα (λ = 1.5418 Å).

Cell and atoms:
```
GaPbBr4
1.0
4.1657 -4.2195 0.0000
4.1657 4.2195 0.0000
-4.1369 0.0000 6.3662
Ga Pb Br
1 1 4
Direct
0.0000 0.0000 0.0000
0.6941 0.3059 0.5000
0.1580 0.2615 0.4272
0.4390 0.0612 0.0154
0.7385 0.8420 0.5728
0.9388 0.5610 0.9846
```

Peak list (10 most intense, 2θ = 15–90°, in order of rising 2θ)
d_spacing	I (rel.)
5.373	1000
3.453	211
3.183	366
2.964	725
2.609	159
2.583	162
2.339	235
2.173	234
2.166	237
2.083	138